Na2Cd2In3: simulated powder XRD pattern (Cu Kα X-rays), based on a cell relaxed with GGA-PBE.
Intensities are scaled so that the largest is 100.

Structure:
```
data_Na2Cd2In3
_cell_length_a 4.712
_cell_length_b 20.258
_cell_length_c 8.382
_cell_angle_alpha 90.00
_cell_angle_beta 90.00
_cell_angle_gamma 90.00
_symmetry_space_group_name_H-M 'C m c m'
_symmetry_Int_Tables_number 63
_symmetry_space_group_name_Hall '-C 2c 2'
loop_
_atom_site_label
_atom_site_type_symbol
_atom_site_fract_x
_atom_site_fract_y
_atom_site_fract_z
Na1 Na 0.000 0.055 0.250
Na2 Na 0.000 0.154 0.750
Cd1 Cd 0.000 0.308 0.559
In1 In 0.000 0.230 0.250
In2 In 0.000 0.438 0.079
```

Peak list (10 most intense, 2θ from 15° to 90°, in order of rising 2θ)
| (hkl) | 2theta | d_spacing | intensity |
| --- | --- | --- | --- |
| 1 1 0 | 19.3 | 4.589 | 100.0 |
| 0 4 1 | 20.5 | 4.335 | 63.4 |
| 1 1 2 | 28.8 | 3.095 | 66.4 |
| 1 5 1 | 31.0 | 2.884 | 73.5 |
| 0 8 0 | 35.4 | 2.532 | 31.4 |
| 0 4 3 | 36.7 | 2.446 | 57.2 |
| 2 0 0 | 38.2 | 2.356 | 57.4 |
| 1 3 3 | 39.8 | 2.264 | 82.4 |
| 1 7 2 | 42.5 | 2.125 | 37.6 |
| 2 4 3 | 54.0 | 1.697 | 35.9 |

Na16CdIn12: simulated powder XRD pattern (Cu Kα X-rays), based on a cell relaxed with GGA-PBE.
Intensities are scaled so that the largest is 100.

Structure:
```
data_Na16CdIn12
_cell_length_a 11.721
_cell_length_b 16.736
_cell_length_c 10.104
_cell_angle_alpha 90.00
_cell_angle_beta 125.32
_cell_angle_gamma 90.00
_symmetry_space_group_name_H-M 'C 1 m 1'
_symmetry_Int_Tables_number 8
_symmetry_space_group_name_Hall 'C -2y'
loop_
_atom_site_label
_atom_site_type_symbol
_atom_site_fract_x
_atom_site_fract_y
_atom_site_fract_z
Na1 Na 0.000 0.000 0.000
Na2 Na 0.006 0.344 0.938
Na3 Na 0.024 0.327 0.347
Na4 Na 0.143 0.202 0.658
Na5 Na 0.259 0.500 0.070
Na6 Na 0.305 0.363 0.354
Na7 Na 0.333 0.296 0.037
Na8 Na 0.341 0.000 0.699
Na9 Na 0.349 0.000 0.349
Na10 Na 0.416 0.344 0.755
Cd1 Cd 0.033 0.000 0.644
In1 In 0.030 0.500 0.156
In2 In 0.071 0.091 0.355
In3 In 0.129 0.408 0.717
In4 In 0.163 0.185 0.162
In5 In 0.222 0.500 0.529
In6 In 0.254 0.093 0.976
In7 In 0.352 0.184 0.532
```

Peak list (10 most intense, 2θ from 15° to 90°, in order of rising 2θ)
| (hkl) | 2theta | d_spacing | intensity |
| --- | --- | --- | --- |
| 1 3 -1 | 18.4 | 4.812 | 100.0 |
| 2 0 -2 | 18.6 | 4.772 | 78.9 |
| 1 5 -2 | 32.2 | 2.777 | 55.2 |
| 4 2 -2 | 32.4 | 2.764 | 63.6 |
| 1 3 -3 | 32.5 | 2.758 | 43.3 |
| 3 5 -1 | 35.7 | 2.515 | 54.7 |
| 3 5 -2 | 35.8 | 2.512 | 25.5 |
| 3 1 1 | 36.0 | 2.492 | 63.2 |
| 1 5 2 | 39.1 | 2.301 | 31.2 |
| 5 1 -3 | 39.2 | 2.296 | 26.4 |

Na3Cd2In8: simulated powder XRD pattern (Cu Kα X-rays), based on a cell relaxed with GGA-PBE.
Intensities are scaled so that the largest is 100.

Structure:
```
data_Na3Cd2In8
_cell_length_a 5.859
_cell_length_b 7.858
_cell_length_c 9.060
_cell_angle_alpha 66.99
_cell_angle_beta 84.85
_cell_angle_gamma 68.71
_symmetry_space_group_name_H-M 'P -1'
_symmetry_Int_Tables_number 2
_symmetry_space_group_name_Hall '-P 1'
loop_
_atom_site_label
_atom_site_type_symbol
_atom_site_fract_x
_atom_site_fract_y
_atom_site_fract_z
Na1 Na 0.000 0.000 0.000
Na2 Na 0.233 0.300 0.666
Cd1 Cd 0.345 0.570 0.262
In1 In 0.166 0.643 0.884
In2 In 0.196 0.790 0.489
In3 In 0.318 0.171 0.361
In4 In 0.429 0.189 0.032
```

Peak list (10 most intense, 2θ from 15° to 90°, in order of rising 2θ)
| (hkl) | 2theta | d_spacing | intensity |
| --- | --- | --- | --- |
| 1 0 1 | 20.0 | 4.437 | 30.6 |
| 2 1 0 | 30.7 | 2.914 | 45.3 |
| 1 1 3 | 32.6 | 2.743 | 59.2 |
| -1 2 1 | 34.1 | 2.631 | 46.0 |
| 1 3 1 | 34.6 | 2.595 | 39.5 |
| 2 0 1 | 35.3 | 2.544 | 61.3 |
| -1 1 3 | 35.4 | 2.535 | 100.0 |
| 1 3 3 | 38.9 | 2.313 | 36.0 |
| 0 1 -3 | 39.6 | 2.278 | 32.9 |
| 0 2 -2 | 40.4 | 2.234 | 34.9 |

NaCdInNi: simulated powder XRD pattern (Cu Kα X-rays), based on a cell relaxed with GGA-PBE.
Intensities are scaled so that the largest is 100.

Structure:
```
data_NaCdInNi
_cell_length_a 6.701
_cell_length_b 6.701
_cell_length_c 6.701
_cell_angle_alpha 90.00
_cell_angle_beta 90.00
_cell_angle_gamma 90.00
_symmetry_space_group_name_H-M 'F -4 3 m'
_symmetry_Int_Tables_number 216
_symmetry_space_group_name_Hall 'F -4 2 3'
loop_
_atom_site_label
_atom_site_type_symbol
_atom_site_fract_x
_atom_site_fract_y
_atom_site_fract_z
Na1 Na 0.000 0.000 0.000
Cd1 Cd 0.250 0.250 0.250
In1 In 0.250 0.250 0.750
Ni1 Ni 0.000 0.000 0.500
```

Peak list (10 most intense, 2θ from 15° to 90°, in order of rising 2θ)
| (hkl) | 2theta | d_spacing | intensity |
| --- | --- | --- | --- |
| 1 1 1 | 23.0 | 3.869 | 4.0 |
| 2 0 0 | 26.6 | 3.350 | 25.0 |
| 2 2 0 | 38.0 | 2.369 | 100.0 |
| 3 1 1 | 44.9 | 2.020 | 2.0 |
| 2 2 2 | 47.0 | 1.934 | 7.0 |
| 4 0 0 | 54.8 | 1.675 | 16.5 |
| 4 2 0 | 61.9 | 1.498 | 9.1 |
| 4 2 2 | 68.6 | 1.368 | 32.2 |
| 4 4 0 | 81.2 | 1.185 | 9.9 |
| 6 0 0 | 87.3 | 1.117 | 4.8 |